# YCrFe11
Computed X-ray powder pattern, Cu Ka. Input: the PBE geometry in Alexandria.
Neutral-atom scattering factors, no anomalous dispersion.

```
13
Lattice="-2.3355 4.1876 4.2455 2.3355 -4.1876 4.2455 2.3355 4.1876 -4.2455" Properties=species:S:1:pos:R:3 pbc="T T T"
Y 0.0000 0.0000 0.0000
Cr 0.0000 0.0000 5.3413
Fe 2.3355 1.8692 -0.0522
Fe 2.3355 0.0000 1.9051
Fe 2.3355 -1.1845 4.1835
Fe 0.0000 0.0000 3.0638
Fe 1.1685 2.1069 2.0792
Fe 1.1670 -2.0807 6.3247
Fe 2.3355 1.1845 4.1835
Fe 0.0000 4.1876 2.2402
Fe 0.0000 2.3184 4.1932
Fe 1.1685 6.2683 2.0792
Fe 1.1670 2.0807 6.3247
```

Main lines, most intense first (2θ from 15° to 90°):
2.095 Å, rel. 100; 2.087 Å, rel. 73; 1.839 Å, rel. 63; 2.046 Å, rel. 51; 2.040 Å, rel. 48; 2.123 Å, rel. 47; 2.396 Å, rel. 27; 2.421 Å, rel. 23; 1.210 Å, rel. 22; 2.336 Å, rel. 21; 1.883 Å, rel. 19; 1.893 Å, rel. 17